# Cs6Hf5O4F26
Theoretical powder X-ray diffraction pattern, CuKα. Input: a GGA-PBE-relaxed structure.
Lines closer than 0.1° are merged.

The 12 most intense peaks (2θ from 15° to 90°), sorted by position:
2θ = 15.09°, d = 5.871 Å, I 35; 2θ = 21.83°, d = 4.071 Å, I 100; 2θ = 23.94°, d = 3.716 Å, I 24; 2θ = 24.76°, d = 3.595 Å, I 90; 2θ = 25.79°, d = 3.455 Å, I 40; 2θ = 30.78°, d = 2.905 Å, I 13; 2θ = 30.87°, d = 2.896 Å, I 13; 2θ = 35.47°, d = 2.531 Å, I 23; 2θ = 40.65°, d = 2.219 Å, I 22; 2θ = 43.19°, d = 2.095 Å, I 14; 2θ = 44.86°, d = 2.020 Å, I 22; 2θ = 50.77°, d = 1.798 Å, I 14

Structural model:
```
data_Cs6Hf5O4F26
_chemical_formula_sum 'Cs6 Hf5 O4 F26'
_space_group_name_H-M_alt 'P 1'
_space_group_IT_number 1
_space_group_name_Hall 'P 1'
_cell_length_a 12.198
_cell_length_b 12.198
_cell_length_c 11.183
_cell_angle_alpha 111.98
_cell_angle_beta 111.98
_cell_angle_gamma 32.91
loop_
_atom_site_label
_atom_site_type_symbol
_atom_site_fract_x
_atom_site_fract_y
_atom_site_fract_z
Cs1 Cs 0.074 0.074 0.230
Cs2 Cs 0.166 0.166 0.926
Cs3 Cs 0.363 0.363 0.411
Cs4 Cs 0.637 0.637 0.589
Cs5 Cs 0.834 0.834 0.074
Cs6 Cs 0.926 0.926 0.770
Hf1 Hf 0.000 0.000 0.500
Hf2 Hf 0.296 0.296 0.736
Hf3 Hf 0.432 0.432 0.035
Hf4 Hf 0.568 0.568 0.965
Hf5 Hf 0.704 0.704 0.264
O1 O 0.212 0.212 0.548
O2 O 0.458 0.458 0.252
O3 O 0.542 0.542 0.748
O4 O 0.788 0.788 0.452
F1 F 0.047 0.430 0.767
F2 F 0.079 0.079 0.660
F3 F 0.125 0.505 0.621
F4 F 0.168 0.757 0.575
F5 F 0.179 0.726 0.091
F6 F 0.190 0.535 0.882
F7 F 0.243 0.832 0.425
F8 F 0.274 0.821 0.909
F9 F 0.363 0.363 0.104
F10 F 0.430 0.047 0.767
F11 F 0.465 0.810 0.118
F12 F 0.466 0.466 0.886
F13 F 0.495 0.875 0.379
F14 F 0.505 0.125 0.621
F15 F 0.534 0.534 0.114
F16 F 0.535 0.190 0.882
F17 F 0.570 0.953 0.233
F18 F 0.637 0.637 0.896
F19 F 0.726 0.179 0.091
F20 F 0.757 0.168 0.575
F21 F 0.810 0.465 0.118
F22 F 0.821 0.274 0.909
F23 F 0.832 0.243 0.425
F24 F 0.875 0.495 0.379
F25 F 0.921 0.921 0.340
F26 F 0.953 0.570 0.233
```

=====

# Cs2HgF4
Theoretical powder X-ray diffraction pattern, CuKα. Input: a GGA-PBE-relaxed structure.
Lines closer than 0.1° are merged.

The 12 most intense peaks (2θ from 15° to 90°), sorted by position:
2θ = 26.15°, d = 3.407 Å, I 100; 2θ = 26.52°, d = 3.361 Å, I 66; 2θ = 35.99°, d = 2.495 Å, I 20; 2θ = 36.78°, d = 2.443 Å, I 13; 2θ = 37.86°, d = 2.377 Å, I 35; 2θ = 45.92°, d = 1.976 Å, I 18; 2θ = 46.59°, d = 1.949 Å, I 43; 2θ = 53.22°, d = 1.721 Å, I 13; 2θ = 53.81°, d = 1.704 Å, I 16; 2θ = 54.61°, d = 1.681 Å, I 12; 2θ = 61.71°, d = 1.503 Å, I 12; 2θ = 74.56°, d = 1.273 Å, I 11

Structural model:
```
data_Cs2HgF4
_chemical_formula_sum 'Cs4 Hg2 F8'
_space_group_name_H-M_alt 'P 1'
_space_group_IT_number 1
_space_group_name_Hall 'P 1'
_cell_length_a 4.753
_cell_length_b 4.753
_cell_length_c 14.660
_cell_angle_alpha 90.00
_cell_angle_beta 90.00
_cell_angle_gamma 90.00
loop_
_atom_site_label
_atom_site_type_symbol
_atom_site_fract_x
_atom_site_fract_y
_atom_site_fract_z
Cs1 Cs 0.000 0.000 0.143
Cs2 Cs 0.000 0.000 0.857
Cs3 Cs 0.500 0.500 0.357
Cs4 Cs 0.500 0.500 0.643
Hg1 Hg 0.000 0.000 0.500
Hg2 Hg 0.500 0.500 0.000
F1 F 0.000 0.000 0.345
F2 F 0.000 0.000 0.655
F3 F 0.000 0.500 0.000
F4 F 0.000 0.500 0.500
F5 F 0.500 0.000 0.000
F6 F 0.500 0.000 0.500
F7 F 0.500 0.500 0.155
F8 F 0.500 0.500 0.845
```

=====

# Cs2TaHgF6
Theoretical powder X-ray diffraction pattern, CuKα. Input: a GGA-PBE-relaxed structure.
Lines closer than 0.1° are merged.

The 12 most intense peaks (2θ from 15° to 90°), sorted by position:
2θ = 17.61°, d = 5.035 Å, I 8; 2θ = 25.01°, d = 3.560 Å, I 100; 2θ = 35.66°, d = 2.518 Å, I 28; 2θ = 40.04°, d = 2.252 Å, I 3; 2θ = 44.05°, d = 2.056 Å, I 41; 2θ = 51.32°, d = 1.780 Å, I 18; 2θ = 57.92°, d = 1.592 Å, I 23; 2θ = 64.06°, d = 1.453 Å, I 6; 2θ = 69.90°, d = 1.346 Å, I 24; 2θ = 75.53°, d = 1.259 Å, I 3; 2θ = 81.02°, d = 1.187 Å, I 12; 2θ = 86.43°, d = 1.126 Å, I 8

Structural model:
```
data_Cs2TaHgF6
_chemical_formula_sum 'Cs2 Ta1 Hg1 F6'
_space_group_name_H-M_alt 'P 1'
_space_group_IT_number 1
_space_group_name_Hall 'P 1'
_cell_length_a 7.121
_cell_length_b 7.121
_cell_length_c 7.121
_cell_angle_alpha 60.00
_cell_angle_beta 60.00
_cell_angle_gamma 60.00
loop_
_atom_site_label
_atom_site_type_symbol
_atom_site_fract_x
_atom_site_fract_y
_atom_site_fract_z
Cs1 Cs 0.250 0.250 0.250
Cs2 Cs 0.750 0.750 0.750
Ta1 Ta 0.000 0.000 0.000
Hg1 Hg 0.500 0.500 0.500
F1 F 0.199 0.199 0.801
F2 F 0.199 0.801 0.199
F3 F 0.199 0.801 0.801
F4 F 0.801 0.199 0.199
F5 F 0.801 0.199 0.801
F6 F 0.801 0.801 0.199
```

=====

# Cs2TlHgF6
Theoretical powder X-ray diffraction pattern, CuKα. Input: a GGA-PBE-relaxed structure.
Lines closer than 0.1° are merged.

The 12 most intense peaks (2θ from 15° to 90°), sorted by position:
2θ = 18.76°, d = 4.731 Å, I 9; 2θ = 26.65°, d = 3.345 Å, I 100; 2θ = 38.04°, d = 2.366 Å, I 31; 2θ = 42.74°, d = 2.116 Å, I 5; 2θ = 47.05°, d = 1.931 Å, I 44; 2θ = 54.89°, d = 1.673 Å, I 21; 2θ = 58.53°, d = 1.577 Å, I 2; 2θ = 62.03°, d = 1.496 Å, I 20; 2θ = 68.73°, d = 1.366 Å, I 7; 2θ = 75.14°, d = 1.264 Å, I 23; 2θ = 81.35°, d = 1.183 Å, I 3; 2θ = 87.47°, d = 1.115 Å, I 12

Structural model:
```
data_Cs2TlHgF6
_chemical_formula_sum 'Cs2 Tl1 Hg1 F6'
_space_group_name_H-M_alt 'P 1'
_space_group_IT_number 1
_space_group_name_Hall 'P 1'
_cell_length_a 6.691
_cell_length_b 6.691
_cell_length_c 6.691
_cell_angle_alpha 60.00
_cell_angle_beta 60.00
_cell_angle_gamma 60.00
loop_
_atom_site_label
_atom_site_type_symbol
_atom_site_fract_x
_atom_site_fract_y
_atom_site_fract_z
Cs1 Cs 0.250 0.250 0.250
Cs2 Cs 0.750 0.750 0.750
Tl1 Tl 0.000 0.000 0.000
Hg1 Hg 0.500 0.500 0.500
F1 F 0.251 0.251 0.749
F2 F 0.251 0.749 0.251
F3 F 0.251 0.749 0.749
F4 F 0.749 0.251 0.251
F5 F 0.749 0.251 0.749
F6 F 0.749 0.749 0.251
```